For YMgRe, the PBE geometry in Alexandria gives the theoretical powder diffractogram in this record (copper Kα).
Intensities are scaled so that the largest is 100.

The 10 most intense peaks (10 to 80 degrees two-theta), by angle:
- (1 0 0), 2θ 20.88, 4.254 Å, I 72
- (1 1 0), 2θ 36.59, 2.456 Å, I 85
- (1 0 1), 2θ 37.56, 2.395 Å, I 100
- (2 0 0), 2θ 42.50, 2.127 Å, I 12
- (1 1 1), 2θ 48.59, 1.874 Å, I 12
- (0 2 1), 2θ 53.44, 1.715 Å, I 36
- (2 1 0), 2θ 57.30, 1.608 Å, I 10
- (3 0 0), 2θ 65.87, 1.418 Å, I 15
- (2 1 1), 2θ 66.51, 1.406 Å, I 37
- (1 1 2), 2θ 76.31, 1.248 Å, I 16

Structural model:
Lattice parameters (Å, degrees): 4.9120 4.9120 2.8977 90.00 90.00 120.00
Space group P3m1 (No. 156)
Asymmetric unit:
Y 0.0000 0.0000 0.0000 x1
Mg 0.6667 0.3333 0.4349 x1
Re 0.3333 0.6667 0.5583 x1